Starting from DFT lattice parameters and positions (PBE), the powder XRD pattern of Ce2CdGePb was simulated for a wavelength of 1.5418 Å.

Structural model:
```
Ce2CdGePb
1.0
4.481 0.000 0.000
0.000 4.481 0.000
0.000 0.000 14.121
Ce Cd Ge Pb
4 2 2 2
Cartesian
1.120 1.120 1.458
1.120 1.120 9.747
3.361 3.361 4.374
3.361 3.361 12.663
1.120 3.361 7.060
3.361 1.120 7.060
1.120 1.120 12.614
3.361 3.361 1.507
1.120 1.120 4.875
3.361 3.361 9.246
```

Principal peaks in the range 15° ≤ 2θ ≤ 90°, in order of falling intensity:
2theta, I/Imax, h k l
28.2, 100.0, 1 1 0
38.2, 95.6, 1 1 4
40.2, 89.2, 2 0 0
34.1, 79.0, 1 1 3
31.7, 45.4, 0 0 5
30.9, 45.0, 1 1 2
52.1, 44.1, 2 0 5
71.8, 31.7, 3 1 4